Entry 1:
Diffraction record for InH6BrN2. The PXRD pattern is computed, not measured: it uses a cell relaxed with PBE and Cu Kα.
Lines closer than 0.1° are merged.

Largest 6 diffraction maxima, low angle first, 5° ≤ 2θ ≤ 70°:
index	Position (°2θ)	d [Å]	I (rel.)
0 2 0	10.94	8.087	54
0 2 1	19.94	4.453	100
0 4 1	27.68	3.222	60
2 2 -1	29.62	3.016	63
1 5 0	31.49	2.841	29
2 4 -1	35.44	2.533	31

Structure:
Unit cell a=6.568 b=16.174 c=5.898 alpha=90.00 beta=115.25 gamma=90.00
Space group C2/c (No. 15)
Asymmetric unit:
In 0.000 0.191 0.250 x4
H 0.160 0.421 0.451 x8
H 0.171 0.016 0.603 x8
H 0.249 0.103 0.762 x8
Br 0.000 0.360 0.750 x4
N 0.201 0.078 0.587 x8


Entry 2:
Diffraction record for Pm2InIr2. The PXRD pattern is computed, not measured: it uses a cell relaxed with PBE and Cu Kα.
Lines closer than 0.1° are merged.

Largest 6 diffraction maxima, low angle first, 5° ≤ 2θ ≤ 70°:
index	Position (°2θ)	d [Å]	I (rel.)
2 0 2	32.51	2.754	56
0 2 1	33.79	2.653	50
3 1 -2	34.13	2.627	53
1 1 -3	36.37	2.470	100
2 2 -1	36.93	2.434	68
2 2 1	39.96	2.256	84

Structure:
Unit cell a=10.319 b=5.630 c=8.246 alpha=90.00 beta=105.82 gamma=90.00
Space group C2/c (No. 15)
Asymmetric unit:
Pm 0.145 0.159 0.148 x8
In 0.000 0.348 0.750 x4
Ir 0.142 0.350 0.508 x8


Entry 3:
Diffraction record for LaNi4C. The PXRD pattern is computed, not measured: it uses a cell relaxed with PBE and Cu Kα.
Lines closer than 0.1° are merged.

Largest 6 diffraction maxima, low angle first, 5° ≤ 2θ ≤ 70°:
index	Position (°2θ)	d [Å]	I (rel.)
2 2 -1	34.00	2.637	31
2 2 0	37.12	2.422	100
2 0 1	37.94	2.372	21
0 2 2	38.07	2.364	63
4 0 -2	48.84	1.865	39
2 0 -4	51.06	1.789	25

Structure:
Unit cell a=7.462 b=7.455 c=7.154 alpha=90.00 beta=121.17 gamma=90.00
Space group C2/m (No. 12)
Asymmetric unit:
La 0.248 0.000 0.000 x4
Ni 0.000 0.310 0.500 x4
Ni 0.098 0.253 0.200 x8
Ni 0.189 0.000 0.497 x4
C 0.250 0.250 0.500 x4